Computed XRD peak list of La2GdAl7Ag2 for a wavelength of 1.5418 Å, from the PBE geometry in OQMD.
Lines closer than 0.1° are merged.

Largest 10 diffraction maxima, low angle first, 10° ≤ 2θ ≤ 90°:
| Position (°2θ) | Rel. int. |
| --- | --- |
| 19.8 | 35 |
| 29.6 | 24 |
| 31.6 | 81 |
| 32.3 | 19 |
| 37.6 | 100 |
| 44.1 | 15 |
| 56.3 | 15 |
| 60.3 | 24 |
| 61.2 | 16 |
| 66.1 | 17 |

Atomic structure:
a b c (Å): 9.534 9.534 9.534
angles (deg): 34.52 34.52 34.52
Positions (direct):
La (0.142, 0.142, 0.142)
La (0.858, 0.858, 0.858)
Gd (0.000, 0.000, 0.000)
Al (0.074, 0.585, 0.585)
Al (0.415, 0.415, 0.926)
Al (0.415, 0.926, 0.415)
Al (0.500, 0.500, 0.500)
Al (0.585, 0.074, 0.585)
Al (0.585, 0.585, 0.074)
Al (0.926, 0.415, 0.415)
Ag (0.336, 0.336, 0.336)
Ag (0.664, 0.664, 0.664)

---

Computed XRD peak list of GdLu2Al7Ag2 for a wavelength of 1.5418 Å, from the PBE geometry in OQMD.
Lines closer than 0.1° are merged.

Largest 10 diffraction maxima, low angle first, 10° ≤ 2θ ≤ 90°:
| Position (°2θ) | Rel. int. |
| --- | --- |
| 18.9 | 21 |
| 20.3 | 39 |
| 23.0 | 20 |
| 30.3 | 31 |
| 32.5 | 87 |
| 33.1 | 19 |
| 38.6 | 100 |
| 62.1 | 24 |
| 62.9 | 17 |
| 68.0 | 17 |

Atomic structure:
a b c (Å): 9.305 9.305 9.305
angles (deg): 34.45 34.45 34.45
Positions (direct):
Gd (0.000, 0.000, 0.000)
Lu (0.143, 0.143, 0.143)
Lu (0.857, 0.857, 0.857)
Al (0.077, 0.589, 0.589)
Al (0.411, 0.411, 0.923)
Al (0.411, 0.923, 0.411)
Al (0.500, 0.500, 0.500)
Al (0.589, 0.077, 0.589)
Al (0.589, 0.589, 0.077)
Al (0.923, 0.411, 0.411)
Ag (0.335, 0.335, 0.335)
Ag (0.665, 0.665, 0.665)